# 1
Starting from a cell relaxed with GGA+U, the powder XRD pattern of UMo2O8 was calculated for Cu Kα X-rays.

Unit cell a=7.581 b=20.386 c=4.145 alpha=90.00 beta=90.00 gamma=90.00
Atoms (fractional coordinates):
U (0.250, 0.001, 0.000)
U (0.250, 0.499, 0.000)
U (0.750, 0.501, 0.000)
U (0.750, 0.999, 0.000)
Mo (0.000, 0.158, 0.086)
Mo (0.000, 0.342, 0.914)
Mo (0.000, 0.658, 0.086)
Mo (0.000, 0.842, 0.914)
Mo (0.500, 0.158, 0.914)
Mo (0.500, 0.342, 0.086)
Mo (0.500, 0.658, 0.914)
Mo (0.500, 0.842, 0.086)
O (0.002, 0.160, 0.505)
O (0.002, 0.340, 0.495)
O (0.003, 0.560, 0.011)
O (0.003, 0.940, 0.989)
O (0.006, 0.250, 0.000)
O (0.250, 0.141, 0.000)
O (0.250, 0.359, 0.000)
O (0.250, 0.503, 0.500)
O (0.250, 0.646, 0.000)
O (0.250, 0.854, 0.000)
O (0.250, 0.997, 0.500)
O (0.494, 0.250, 0.000)
O (0.497, 0.560, 0.989)
O (0.497, 0.940, 0.011)
O (0.498, 0.160, 0.495)
O (0.498, 0.340, 0.505)
O (0.502, 0.660, 0.495)
O (0.502, 0.840, 0.505)
O (0.503, 0.060, 0.989)
O (0.503, 0.440, 0.011)
O (0.506, 0.750, 0.000)
O (0.750, 0.003, 0.500)
O (0.750, 0.146, 0.000)
O (0.750, 0.354, 0.000)
O (0.750, 0.497, 0.500)
O (0.750, 0.641, 0.000)
O (0.750, 0.859, 0.000)
O (0.994, 0.750, 0.000)
O (0.997, 0.060, 0.011)
O (0.997, 0.440, 0.989)
O (0.998, 0.660, 0.505)
O (0.998, 0.840, 0.495)

Peak list (10 most intense, 2θ = 10–90°, most intense first)
| Position (°2θ) | intensity |
| --- | --- |
| 21.44 | 100 |
| 25.06 | 76 |
| 26.23 | 66 |
| 29.37 | 60 |
| 33.21 | 44 |
| 36.65 | 36 |
| 34.12 | 34 |
| 55.80 | 21 |
| 50.86 | 21 |
| 23.17 | 21 |



# 2
Starting from a cell relaxed with GGA+U, the powder XRD pattern of UMoO6 was calculated for Cu Kα X-rays.

Unit cell a=7.285 b=5.569 c=13.749 alpha=90.00 beta=104.53 gamma=90.00
Atoms (fractional coordinates):
U (0.166, 0.178, 0.352)
U (0.166, 0.322, 0.852)
U (0.834, 0.678, 0.148)
U (0.834, 0.822, 0.648)
Mo (0.291, 0.586, 0.605)
Mo (0.291, 0.914, 0.105)
Mo (0.709, 0.086, 0.895)
Mo (0.709, 0.414, 0.395)
O (0.076, 0.047, 0.781)
O (0.076, 0.453, 0.281)
O (0.131, 0.669, 0.108)
O (0.131, 0.831, 0.608)
O (0.200, 0.114, 0.001)
O (0.200, 0.386, 0.501)
O (0.242, 0.605, 0.914)
O (0.242, 0.895, 0.414)
O (0.304, 0.076, 0.219)
O (0.304, 0.424, 0.719)
O (0.475, 0.187, 0.894)
O (0.475, 0.313, 0.394)
O (0.525, 0.687, 0.606)
O (0.525, 0.813, 0.106)
O (0.696, 0.576, 0.281)
O (0.696, 0.924, 0.781)
O (0.758, 0.105, 0.586)
O (0.758, 0.395, 0.086)
O (0.800, 0.614, 0.499)
O (0.800, 0.886, 0.999)
O (0.869, 0.169, 0.392)
O (0.869, 0.331, 0.892)
O (0.924, 0.547, 0.719)
O (0.924, 0.953, 0.219)

Peak list (10 most intense, 2θ = 10–90°, most intense first)
| Position (°2θ) | intensity |
| --- | --- |
| 20.80 | 100 |
| 22.37 | 39 |
| 20.33 | 33 |
| 26.79 | 29 |
| 15.85 | 25 |
| 41.98 | 24 |
| 25.45 | 23 |
| 26.30 | 22 |
| 12.55 | 22 |
| 25.26 | 21 |



# 3
Starting from a cell relaxed with GGA+U, the powder XRD pattern of VMoO5 was calculated for Cu Kα X-rays.

Unit cell a=9.615 b=3.815 c=6.525 alpha=90.00 beta=131.11 gamma=90.00
Atoms (fractional coordinates):
V (0.000, 0.000, 0.000)
V (0.500, 0.500, 0.000)
Mo (0.364, 0.500, 0.311)
Mo (0.864, 0.000, 0.311)
O (0.078, 0.000, 0.379)
O (0.082, 0.500, 0.061)
O (0.287, 0.500, 0.895)
O (0.305, 0.000, 0.239)
O (0.441, 0.500, 0.644)
O (0.578, 0.500, 0.379)
O (0.582, 0.000, 0.061)
O (0.787, 0.000, 0.895)
O (0.805, 0.500, 0.239)
O (0.941, 0.000, 0.644)

Peak list (10 most intense, 2θ = 10–90°, most intense first)
| Position (°2θ) | intensity |
| --- | --- |
| 26.40 | 100 |
| 18.04 | 60 |
| 27.35 | 41 |
| 24.58 | 29 |
| 40.18 | 24 |
| 18.56 | 22 |
| 47.68 | 20 |
| 43.10 | 20 |
| 38.12 | 16 |
| 58.51 | 16 |



# 4
Starting from a cell relaxed with GGA+U, the powder XRD pattern of V3MoO6 was calculated for Cu Kα X-rays.

Unit cell a=5.638 b=5.638 c=5.638 alpha=55.30 beta=55.30 gamma=55.30
Atoms (fractional coordinates):
V (0.000, 0.000, 0.000)
V (0.201, 0.201, 0.201)
V (0.501, 0.501, 0.501)
Mo (0.702, 0.702, 0.702)
O (0.118, 0.391, 0.799)
O (0.285, 0.907, 0.604)
O (0.391, 0.799, 0.118)
O (0.604, 0.285, 0.907)
O (0.799, 0.118, 0.391)
O (0.907, 0.604, 0.285)

Peak list (10 most intense, 2θ = 10–90°, most intense first)
| Position (°2θ) | intensity |
| --- | --- |
| 31.91 | 100 |
| 34.27 | 88 |
| 51.93 | 73 |
| 23.25 | 58 |
| 47.53 | 40 |
| 61.37 | 37 |
| 59.89 | 35 |
| 39.29 | 27 |
| 68.94 | 16 |
| 20.56 | 15 |